Entry 1:
Simulated X-ray powder pattern
Compound: Sm4CI3Cl2
Radiation: Cu Ka
Structure: a structure optimized by DFT (GGA-PBE)

a = 9.5211 Å, b = 9.5211 Å, c = 8.6549 Å
α = 100.15°, β = 100.15°, γ = 24.12°
Sites, in units of the cell vectors:
1 Sm 0.0023 0.0023 0.3061
2 Sm 0.3650 0.3650 0.4338
3 Sm 0.6350 0.6350 0.5662
4 Sm 0.9977 0.9977 0.6939
5 C 0.5000 0.5000 0.5000
6 I 0.1750 0.1750 0.3109
7 I 0.5000 0.5000 0.0000
8 I 0.8250 0.8250 0.6891
9 Cl 0.1495 0.1495 0.7968
10 Cl 0.8505 0.8505 0.2032

Most intense lines, 15 to 90 degrees two-theta, by angle:
Position (°2θ)  Rel. int.
23.7  18
27.8  17
29.3  43
29.7  17
30.5  100
32.9  18
33.2  19
33.5  29
39.3  20
42.0  24
43.6  23
45.6  19


Entry 2:
Simulated X-ray powder pattern
Compound: Hf3Co2As4Pd2
Radiation: Cu Ka
Structure: a structure optimized by DFT (GGA-PBE)

a = 6.4912 Å, b = 3.8992 Å, c = 7.3976 Å
α = 90.00°, β = 91.82°, γ = 90.00°
Sites, in units of the cell vectors:
1 Hf 0.0000 0.0000 0.0000
2 Hf 0.0605 0.5000 0.6125
3 Hf 0.5475 0.5000 0.4773
4 Co 0.1498 0.5000 0.2528
5 Co 0.8964 0.0000 0.3588
6 As 0.2726 0.0000 0.3802
7 As 0.2856 0.5000 0.9544
8 As 0.7760 0.0000 0.6619
9 As 0.7856 0.5000 0.1960
10 Pd 0.3644 0.0000 0.7375
11 Pd 0.6747 0.5000 0.8697

Most intense lines, 15 to 90 degrees two-theta, by angle:
Position (°2θ)  Rel. int.
36.0  68
36.5  94
37.5  17
37.8  100
38.4  54
38.7  37
43.4  57
44.0  21
45.4  23
46.6  59
48.1  20
62.1  18


Entry 3:
Simulated X-ray powder pattern
Compound: KZn2
Radiation: Cu Ka
Structure: a structure optimized by DFT (GGA-PBE)

a = 6.0626 Å, b = 6.0626 Å, c = 4.8199 Å
α = 90.00°, β = 90.00°, γ = 120.00°
Sites, in units of the cell vectors:
1 K 0.0000 0.0000 0.0000
2 K 0.3333 0.6667 0.0000
3 Zn 0.4160 0.0812 0.5000
4 Zn 0.6652 0.5840 0.5000
5 Zn 0.6667 0.3333 0.0000
6 Zn 0.9188 0.3348 0.5000

Most intense lines, 15 to 90 degrees two-theta, by angle:
Position (°2θ)  Rel. int.
16.9  41
29.5  30
35.0  100
37.3  26
39.1  11
45.7  14
48.2  15
49.7  31
52.3  11
60.4  11
64.4  10
65.8  14


Entry 4:
Simulated X-ray powder pattern
Compound: NdTmAu6
Radiation: Cu Ka
Structure: a structure optimized by DFT (GGA-PBE)

a = 5.0470 Å, b = 6.2452 Å, c = 5.1525 Å
α = 90.00°, β = 90.00°, γ = 90.00°
Sites, in units of the cell vectors:
1 Nd 0.0000 0.0000 0.0000
2 Tm 0.5000 0.5000 0.3126
3 Au 0.0000 0.2669 0.4965
4 Au 0.0000 0.5000 0.9964
5 Au 0.0000 0.7331 0.4965
6 Au 0.5000 0.0000 0.3372
7 Au 0.5000 0.2540 0.8181
8 Au 0.5000 0.7460 0.8181

Most intense lines, 15 to 90 degrees two-theta, by angle:
Position (°2θ)  Rel. int.
33.6  27
35.6  42
38.1  100
39.3  51
49.7  18
59.2  9
61.6  17
65.6  21
66.4  11
71.0  11
73.2  20
73.3  16


Entry 5:
Simulated X-ray powder pattern
Compound: DyTmCS
Radiation: Cu Ka
Structure: a structure optimized by DFT (GGA-PBE)

a = 3.6738 Å, b = 3.6738 Å, c = 12.7925 Å
α = 90.00°, β = 90.00°, γ = 120.00°
Sites, in units of the cell vectors:
1 Dy 0.3333 0.6667 0.1057
2 Dy 0.6667 0.3333 0.8943
3 Tm 0.3333 0.6667 0.3980
4 Tm 0.6667 0.3333 0.6020
5 C 0.0000 0.0000 0.0000
6 C 0.0000 0.0000 0.5000
7 S 0.3333 0.6667 0.7462
8 S 0.6667 0.3333 0.2538

Most intense lines, 15 to 90 degrees two-theta, by angle:
Position (°2θ)  Rel. int.
27.9  20
28.0  31
28.9  40
35.2  100
40.0  15
49.6  30
51.6  8
57.9  21
58.2  18
62.3  19
67.3  12
83.5  17


Entry 6:
Simulated X-ray powder pattern
Compound: HoErMg6
Radiation: Cu Ka
Structure: a structure optimized by DFT (GGA-PBE)

a = 5.1639 Å, b = 7.2638 Å, c = 5.1652 Å
α = 90.00°, β = 90.00°, γ = 90.00°
Sites, in units of the cell vectors:
1 Ho 0.0000 0.0000 0.0000
2 Er 0.5000 0.5000 0.4904
3 Mg 0.0000 0.2501 0.5004
4 Mg 0.0000 0.5000 0.9994
5 Mg 0.0000 0.7499 0.5004
6 Mg 0.5000 0.0000 0.4911
7 Mg 0.5000 0.2502 0.9901
8 Mg 0.5000 0.7498 0.9901

Most intense lines, 15 to 90 degrees two-theta, by angle:
Position (°2θ)  Rel. int.
21.1  100
24.4  35
24.5  18
34.7  44
34.8  87
41.0  37
41.2  18
43.0  16
49.9  16
54.9  16
62.3  32
62.5  16


Entry 7:
Simulated X-ray powder pattern
Compound: Zr8C5
Radiation: Cu Ka
Structure: a structure optimized by DFT (GGA-PBE)

a = 9.4493 Å, b = 9.4493 Å, c = 9.4493 Å
α = 90.00°, β = 90.00°, γ = 90.00°
Sites, in units of the cell vectors:
1 Zr 0.1168 0.1191 0.3726
2 Zr 0.1175 0.6175 0.8825
3 Zr 0.1191 0.3726 0.1168
4 Zr 0.1226 0.6309 0.3668
5 Zr 0.1274 0.8832 0.6191
6 Zr 0.1309 0.1332 0.8774
7 Zr 0.1325 0.3675 0.6325
8 Zr 0.1332 0.8774 0.1309
9 Zr 0.3668 0.1226 0.6309
10 Zr 0.3675 0.6325 0.1325
11 Zr 0.3691 0.8668 0.3774
12 Zr 0.3726 0.1168 0.1191
13 Zr 0.3774 0.3691 0.8668
14 Zr 0.3809 0.6274 0.6168
15 Zr 0.3825 0.3825 0.3825
16 Zr 0.3832 0.8809 0.8726
17 Zr 0.6168 0.3809 0.6274
18 Zr 0.6175 0.8825 0.1175
19 Zr 0.6191 0.1274 0.8832
20 Zr 0.6226 0.8691 0.6332
21 Zr 0.6274 0.6168 0.3809
22 Zr 0.6309 0.3668 0.1226
23 Zr 0.6325 0.1325 0.3675
24 Zr 0.6332 0.6226 0.8691
25 Zr 0.8668 0.3774 0.3691
26 Zr 0.8675 0.8675 0.8675
27 Zr 0.8691 0.6332 0.6226
28 Zr 0.8726 0.3832 0.8809
29 Zr 0.8774 0.1309 0.1332
30 Zr 0.8809 0.8726 0.3832
31 Zr 0.8825 0.1175 0.6175
32 Zr 0.8832 0.6191 0.1274
33 C 0.1238 0.1262 0.6250
34 C 0.1250 0.1250 0.1250
35 C 0.1250 0.3762 0.8738
36 C 0.1250 0.8750 0.3750
37 C 0.1262 0.6250 0.1238
38 C 0.3738 0.3750 0.6238
39 C 0.3750 0.1250 0.8750
40 C 0.3750 0.6238 0.3738
41 C 0.3750 0.8750 0.6250
42 C 0.3762 0.8738 0.1250
43 C 0.6238 0.3738 0.3750
44 C 0.6250 0.1238 0.1262
45 C 0.6250 0.3750 0.8750
46 C 0.6250 0.6250 0.6250
47 C 0.6262 0.8750 0.8762
48 C 0.8738 0.1250 0.3762
49 C 0.8750 0.3750 0.1250
50 C 0.8750 0.6250 0.3750
51 C 0.8750 0.8762 0.6262
52 C 0.8762 0.6262 0.8750

Most intense lines, 15 to 90 degrees two-theta, by angle:
Position (°2θ)  Rel. int.
16.2  4
21.0  1
32.8  100
38.1  66
50.2  2
52.1  1
55.0  42
65.5  38
68.8  13
71.3  1
77.6  1
81.5  6


Entry 8:
Simulated X-ray powder pattern
Compound: LaHoCN2O2
Radiation: Cu Ka
Structure: a structure optimized by DFT (GGA-PBE)

a = 3.8276 Å, b = 3.8276 Å, c = 8.2536 Å
α = 90.00°, β = 90.00°, γ = 120.00°
Sites, in units of the cell vectors:
1 La 0.0000 0.0000 0.0000
2 Ho 0.6667 0.3333 0.6404
3 C 0.3333 0.6667 0.3272
4 N 0.3333 0.6667 0.1773
5 N 0.3333 0.6667 0.4768
6 O 0.0000 0.0000 0.7056
7 O 0.6667 0.3333 0.9109

Most intense lines, 15 to 90 degrees two-theta, by angle:
Position (°2θ)  Rel. int.
21.5  19
26.9  17
29.0  100
32.5  17
34.7  41
42.7  21
47.5  29
52.2  24
52.7  11
56.6  15
58.8  19
77.0  12


Entry 9:
Simulated X-ray powder pattern
Compound: Nd2Te3
Radiation: Cu Ka
Structure: a structure optimized by DFT (GGA-PBE)

a = 12.3540 Å, b = 4.4269 Å, c = 12.0004 Å
α = 90.00°, β = 90.00°, γ = 90.00°
Sites, in units of the cell vectors:
1 Nd 0.0162 0.2500 0.1877
2 Nd 0.1964 0.2500 0.4981
3 Nd 0.3036 0.7500 0.9981
4 Nd 0.4838 0.7500 0.6877
5 Nd 0.5162 0.2500 0.3123
6 Nd 0.6964 0.2500 0.0019
7 Nd 0.8036 0.7500 0.5019
8 Nd 0.9838 0.7500 0.8123
9 Te 0.0420 0.7500 0.3774
10 Te 0.1197 0.2500 0.9432
11 Te 0.2258 0.7500 0.6988
12 Te 0.2742 0.2500 0.1988
13 Te 0.3803 0.7500 0.4432
14 Te 0.4580 0.2500 0.8774
15 Te 0.5420 0.7500 0.1226
16 Te 0.6197 0.2500 0.5568
17 Te 0.7258 0.7500 0.8012
18 Te 0.7742 0.2500 0.3012
19 Te 0.8803 0.7500 0.0568
20 Te 0.9580 0.2500 0.6226

Most intense lines, 15 to 90 degrees two-theta, by angle:
Position (°2θ)  Rel. int.
26.0  40
26.2  30
28.9  64
30.1  64
30.6  83
31.0  62
33.2  100
36.2  36
36.9  32
38.6  33
40.8  59
43.7  34


Entry 10:
Simulated X-ray powder pattern
Compound: Pd2F
Radiation: Cu Ka
Structure: a structure optimized by DFT (GGA-PBE)

a = 5.6245 Å, b = 5.6245 Å, c = 5.6245 Å
α = 90.00°, β = 90.00°, γ = 90.00°
Sites, in units of the cell vectors:
1 Pd 0.2500 0.2500 0.2500
2 Pd 0.2500 0.2500 0.7500
3 Pd 0.2500 0.7500 0.2500
4 Pd 0.2500 0.7500 0.7500
5 Pd 0.7500 0.2500 0.2500
6 Pd 0.7500 0.2500 0.7500
7 Pd 0.7500 0.7500 0.2500
8 Pd 0.7500 0.7500 0.7500
9 F 0.0000 0.0000 0.0000
10 F 0.0000 0.5000 0.5000
11 F 0.5000 0.0000 0.5000
12 F 0.5000 0.5000 0.0000

Most intense lines, 15 to 90 degrees two-theta, by angle:
Position (°2θ)  Rel. int.
27.5  2
31.8  96
45.6  100
54.1  1
56.7  25
66.5  15
75.6  32
84.4  32


Entry 11:
Simulated X-ray powder pattern
Compound: NiW5
Radiation: Cu Ka
Structure: a structure optimized by DFT (GGA-PBE)

a = 5.0971 Å, b = 5.0971 Å, c = 8.3470 Å
α = 90.00°, β = 90.00°, γ = 120.00°
Sites, in units of the cell vectors:
1 Ni 0.0000 0.0000 0.0000
2 Ni 0.0000 0.0000 0.5000
3 W 0.1693 0.3385 0.2500
4 W 0.1693 0.8307 0.2500
5 W 0.3333 0.6667 0.5632
6 W 0.3333 0.6667 0.9368
7 W 0.3385 0.1693 0.7500
8 W 0.6615 0.8307 0.2500
9 W 0.6667 0.3333 0.0632
10 W 0.6667 0.3333 0.4368
11 W 0.8307 0.1693 0.7500
12 W 0.8307 0.6615 0.7500

Most intense lines, 15 to 90 degrees two-theta, by angle:
Position (°2θ)  Rel. int.
29.5  15
35.2  14
38.2  78
40.9  24
41.5  75
42.4  100
43.4  16
65.2  31
67.5  18
70.8  36
74.5  26
86.9  16


Entry 12:
Simulated X-ray powder pattern
Compound: LaTbBr3N
Radiation: Cu Ka
Structure: a structure optimized by DFT (GGA-PBE)

a = 9.1269 Å, b = 9.1269 Å, c = 11.5540 Å
α = 120.85°, β = 120.85°, γ = 25.53°
Sites, in units of the cell vectors:
1 La 0.1344 0.1344 0.2849
2 La 0.8656 0.8656 0.7151
3 Tb 0.4225 0.4225 0.0418
4 Tb 0.5775 0.5775 0.9582
5 Br 0.0500 0.0500 0.7555
6 Br 0.2162 0.2162 0.1088
7 Br 0.3380 0.3380 0.4877
8 Br 0.6620 0.6620 0.5123
9 Br 0.7838 0.7838 0.8912
10 Br 0.9500 0.9500 0.2445
11 N 0.4291 0.4291 0.8519
12 N 0.5709 0.5709 0.1481

Most intense lines, 15 to 90 degrees two-theta, by angle:
Position (°2θ)  Rel. int.
25.7  73
27.2  73
31.2  100
31.3  55
31.6  63
33.7  47
35.6  47
38.4  32
42.0  47
42.4  39
45.0  40
56.0  24


Entry 13:
Simulated X-ray powder pattern
Compound: RbScHg2Br6
Radiation: Cu Ka
Structure: a structure optimized by DFT (GGA-PBE)

a = 8.1691 Å, b = 8.1691 Å, c = 8.1691 Å
α = 60.00°, β = 60.00°, γ = 60.00°
Sites, in units of the cell vectors:
1 Rb 0.0000 0.0000 0.0000
2 Sc 0.5000 0.5000 0.5000
3 Hg 0.2500 0.2500 0.2500
4 Hg 0.7500 0.7500 0.7500
5 Br 0.2742 0.2742 0.7258
6 Br 0.2742 0.7258 0.2742
7 Br 0.2742 0.7258 0.7258
8 Br 0.7258 0.2742 0.2742
9 Br 0.7258 0.2742 0.7258
10 Br 0.7258 0.7258 0.2742

Most intense lines, 15 to 90 degrees two-theta, by angle:
Position (°2θ)  Rel. int.
21.8  65
26.7  100
31.0  94
38.2  27
44.4  65
49.9  19
52.5  40
55.1  21
59.9  20
71.1  14
73.3  25
81.7  18